For Mg6NbAlO8, a crystal structure in the Materials Project, relaxed with PBE gives the theoretical PXRD pattern in this record (Cu Ka).
Neutral-atom scattering factors, no anomalous dispersion.

Main lines, sorted by position (10 to 90 degrees two-theta):
d [Å]	I_rel
8.670	23
4.329	22
3.871	15
3.061	18
2.887	11
2.499	28
2.164	100
1.531	57
1.305	10
1.250	17

Cell and atoms:
Cell lengths 4.3259, 4.3259, 8.6703 Å; angles 90.00, 90.00, 90.00 degrees
Positions (direct):
Mg1 0.0000 0.0000 0.0000
Mg2 0.0000 0.0000 0.5000
Mg3 0.0000 0.5000 0.2485
Mg4 0.0000 0.5000 0.7515
Mg5 0.5000 0.0000 0.2485
Mg6 0.5000 0.0000 0.7515
Nb1 0.5000 0.5000 0.0000
Al1 0.5000 0.5000 0.5000
O1 0.0000 0.0000 0.2504
O2 0.0000 0.0000 0.7496
O3 0.0000 0.5000 0.0000
O4 0.0000 0.5000 0.5000
O5 0.5000 0.0000 0.0000
O6 0.5000 0.0000 0.5000
O7 0.5000 0.5000 0.2871
O8 0.5000 0.5000 0.7129



For RbPdBr3, a crystal structure in the Materials Project, relaxed with PBE gives the theoretical PXRD pattern in this record (Cu Ka).
Neutral-atom scattering factors, no anomalous dispersion.

Main lines, sorted by position (10 to 90 degrees two-theta):
d [Å]	I_rel
5.293	33
3.742	33
3.056	52
2.646	100
2.367	16
2.161	14
1.871	70
1.596	21
1.528	24
1.184	26

Cell and atoms:
Cell lengths 5.2891, 5.2962, 5.2922 Å; angles 90.00, 90.04, 90.00 degrees
Positions (direct):
Rb1 0.0000 0.0000 0.0000
Pd1 0.4913 0.5000 0.4949
Br1 0.4936 0.0000 0.4950
Br2 0.4951 0.5000 0.9950
Br3 0.9917 0.5000 0.5000



For CsLiMg14, a crystal structure in the Materials Project, relaxed with PBE gives the theoretical PXRD pattern in this record (Cu Ka).
Neutral-atom scattering factors, no anomalous dispersion.

Main lines, sorted by position (10 to 90 degrees two-theta):
d [Å]	I_rel
5.043	47
3.149	18
3.046	17
2.850	26
2.703	25
2.521	100
1.961	17
1.646	17
1.523	17
1.406	19

Cell and atoms:
Cell lengths 6.5827, 6.5827, 10.8107 Å; angles 90.00, 90.00, 120.00 degrees
Positions (direct):
Cs1 0.0000 0.0000 0.0000
Li1 0.0000 0.0000 0.5000
Mg1 0.0044 0.5022 0.0000
Mg2 0.1719 0.3438 0.2699
Mg3 0.1719 0.3438 0.7301
Mg4 0.1719 0.8281 0.2699
Mg5 0.1719 0.8281 0.7301
Mg6 0.4978 0.5022 0.0000
Mg7 0.4978 0.9956 0.0000
Mg8 0.5007 0.0014 0.5000
Mg9 0.5007 0.4993 0.5000
Mg10 0.6562 0.8281 0.2699
Mg11 0.6562 0.8281 0.7301
Mg12 0.6667 0.3333 0.2449
Mg13 0.6667 0.3333 0.7551
Mg14 0.9986 0.4993 0.5000



For Ho4Ir, a crystal structure in the Materials Project, relaxed with PBE gives the theoretical PXRD pattern in this record (Cu Ka).
Neutral-atom scattering factors, no anomalous dispersion.

Main lines, sorted by position (10 to 90 degrees two-theta):
d [Å]	I_rel
3.821	28
3.119	100
2.702	24
2.479	29
2.080	26
1.910	57
1.629	35
1.320	12
1.240	11
1.103	14

Cell and atoms:
Cell lengths 7.6411, 7.6411, 7.6411 Å; angles 60.00, 60.00, 60.00 degrees
Positions (direct):
Ho1 0.2094 0.7635 0.7635
Ho2 0.2365 0.2365 0.2365
Ho3 0.2365 0.2365 0.7906
Ho4 0.2365 0.7906 0.2365
Ho5 0.7635 0.2094 0.7635
Ho6 0.7635 0.7635 0.2094
Ho7 0.7635 0.7635 0.7635
Ho8 0.7906 0.2365 0.2365
Ir1 0.3750 0.3750 0.3750
Ir2 0.6250 0.6250 0.6250



For Rb3Sn, a crystal structure in the Materials Project, relaxed with PBE gives the theoretical PXRD pattern in this record (Cu Ka).
Neutral-atom scattering factors, no anomalous dispersion.

Main lines, sorted by position (10 to 90 degrees two-theta):
d [Å]	I_rel
5.379	2
3.294	100
2.329	19
1.902	42
1.647	13
1.473	18
1.345	5
1.245	21
1.165	2
1.098	11

Cell and atoms:
Cell lengths 6.5882, 6.5882, 6.5882 Å; angles 60.00, 60.00, 60.00 degrees
Positions (direct):
Rb1 0.0000 0.0000 0.0000
Rb2 0.2500 0.2500 0.2500
Rb3 0.7500 0.7500 0.7500
Sn1 0.5000 0.5000 0.5000



For Cr5InSe8, a crystal structure in the Materials Project, relaxed with PBE gives the theoretical PXRD pattern in this record (Cu Ka).
Neutral-atom scattering factors, no anomalous dispersion.

Main lines, sorted by position (10 to 90 degrees two-theta):
d [Å]	I_rel
2.918	25
2.861	47
2.847	100
2.730	65
2.676	28
2.294	34
2.014	26
1.839	29
1.823	53
1.622	19

Cell and atoms:
Cell lengths 9.6215, 9.6215, 9.0456 Å; angles 104.29, 104.29, 22.04 degrees
Positions (direct):
Cr1 0.0000 0.0000 0.0000
Cr2 0.2955 0.2955 0.6650
Cr3 0.3419 0.3419 0.0200
Cr4 0.6581 0.6581 0.9800
Cr5 0.7045 0.7045 0.3350
In1 0.5000 0.5000 0.5000
Se1 0.0862 0.0862 0.8262
Se2 0.1695 0.1695 0.4912
Se3 0.2393 0.2393 0.1581
Se4 0.4259 0.4259 0.8409
Se5 0.5741 0.5741 0.1591
Se6 0.7607 0.7607 0.8419
Se7 0.8305 0.8305 0.5088
Se8 0.9138 0.9138 0.1738